Diffraction record for U4Tl3O12. The powder diffraction line list is computed, not measured: it uses a DFT-relaxed cell (GGA-PBE, Alexandria) and Cu Kα (weighted mean of Kα1 and Kα2).
No peak broadening, texture or thermal motion is included.

Largest 6 diffraction maxima, sorted by position, 10 to 80 degrees two-theta:
2θ (°), I (rel.)
14.52, 10
29.29, 100
41.90, 27
51.94, 43
60.75, 18
68.85, 19

Structural model:
Cell: 7.4690 7.4690 7.4690 Å, 109.47 109.47 109.47°
Fractional positions:
U 0.0000 0.0000 0.5000
U 0.0000 0.5000 0.0000
U 0.5000 0.0000 0.0000
U 0.5000 0.5000 0.5000
Tl 0.0000 0.5000 0.5000
Tl 0.5000 0.0000 0.5000
Tl 0.5000 0.5000 0.0000
O 0.0000 0.2522 0.7478
O 0.0000 0.7478 0.2522
O 0.2522 0.0000 0.7478
O 0.2522 0.2522 0.5043
O 0.2522 0.5043 0.2522
O 0.2522 0.7478 0.0000
O 0.4957 0.7478 0.7478
O 0.5043 0.2522 0.2522
O 0.7478 0.0000 0.2522
O 0.7478 0.2522 0.0000
O 0.7478 0.4957 0.7478
O 0.7478 0.7478 0.4957

=====

Diffraction record for UTl2Zn2O6. The powder diffraction line list is computed, not measured: it uses a DFT-relaxed cell (GGA-PBE, Alexandria) and Cu Kα (weighted mean of Kα1 and Kα2).
No peak broadening, texture or thermal motion is included.

Largest 6 diffraction maxima, sorted by position, 10 to 80 degrees two-theta:
2θ (°), I (rel.)
17.39, 30
29.00, 100
30.68, 92
42.72, 35
51.39, 21
52.46, 44

Structural model:
Cell: 6.8023 6.8023 6.8023 Å, 53.83 53.83 53.83°
Fractional positions:
U 0.0000 0.0000 0.0000
Tl 0.2082 0.2082 0.2082
Tl 0.7918 0.7918 0.7918
Zn 0.4042 0.4042 0.4042
Zn 0.5958 0.5958 0.5958
O 0.2296 0.2296 0.7613
O 0.2296 0.7613 0.2296
O 0.2387 0.7704 0.7704
O 0.7613 0.2296 0.2296
O 0.7704 0.2387 0.7704
O 0.7704 0.7704 0.2387